The following is a calculated powder diffractogram of Ac2Tl2Ag. It was derived from a cell relaxed with PBE, using Cu Kα X-rays.
Lines closer than 0.1° are merged.

Cell and atoms:
Cell: 6.482 6.482 12.207 Å, 115.08 115.08 45.32°
Atoms (fractional coordinates):
Ac 0.022 0.022 0.338
Ac 0.183 0.183 0.111
Ac 0.817 0.817 0.889
Ac 0.978 0.978 0.662
Tl 0.354 0.354 0.436
Tl 0.469 0.469 0.114
Tl 0.531 0.531 0.886
Tl 0.646 0.646 0.564
Ag 0.278 0.278 0.663
Ag 0.722 0.722 0.337

Principal peaks in the range 15 to 90 degrees two-theta, by angle:
| two_theta | Rel. int. |
| --- | --- |
| 28.06 | 33 |
| 28.44 | 100 |
| 28.85 | 29 |
| 29.90 | 47 |
| 31.58 | 44 |
| 33.05 | 27 |
| 35.01 | 85 |
| 35.96 | 66 |
| 47.44 | 27 |
| 64.03 | 29 |